Mg14CuB: theoretical powder XRD pattern (Cu Ka), based on DFT lattice parameters and positions (GGA-PBE).

```
data_Mg14CuB
_chemical_formula_sum 'Mg14 Cu1 B1'
_space_group_name_H-M_alt 'P -6 m 2'
_space_group_IT_number 187
_space_group_name_Hall 'P -6 2'
_cell_length_a 6.1479
_cell_length_b 6.1479
_cell_length_c 10.0252
_cell_angle_alpha 90.00
_cell_angle_beta 90.00
_cell_angle_gamma 120.00
loop_
_atom_site_label
_atom_site_type_symbol
_atom_site_fract_x
_atom_site_fract_y
_atom_site_fract_z
_atom_site_occupancy
Mg1 Mg 0.0000 0.0000 0.2490 1
Mg2 Mg 0.0131 0.5066 0.2518 1
Mg3 Mg 0.3324 0.1662 0.0000 1
Mg4 Mg 0.3315 0.1658 0.5000 1
Cu1 Cu 0.3333 0.6667 0.0000 1
B1 B 0.3333 0.6667 0.5000 1
```

Most intense lines, 2θ = 15–90°, in order of rising 2θ:
Position (°2θ)  intensity
18.87  15
30.42  5
33.67  24
35.83  27
38.28  100
49.98  15
60.21  16
66.01  18
72.09  18
73.63  13

Mg6CuB: theoretical powder XRD pattern (Cu Ka), based on DFT lattice parameters and positions (GGA-PBE).

```
data_Mg6CuB
_chemical_formula_sum 'Mg12 Cu2 B2'
_space_group_name_H-M_alt 'A m m 2'
_space_group_IT_number 38
_cell_length_a 4.4889
_cell_length_b 6.4021
_cell_length_c 10.1765
_cell_angle_alpha 90.00
_cell_angle_beta 90.00
_cell_angle_gamma 90.00
loop_
_space_group_symop_operation_xyz
'x,y,z'
'-x,-y,z'
'-x,y,z'
'x,-y,z'
'x,y+1/2,z+1/2'
'-x,-y+1/2,z+1/2'
'-x,y+1/2,z+1/2'
'x,-y+1/2,z+1/2'
loop_
_atom_site_label
_atom_site_type_symbol
_atom_site_fract_x
_atom_site_fract_y
_atom_site_fract_z
_atom_site_occupancy
Mg1 Mg 0.0000 0.0000 0.0000 1
Mg2 Mg 0.0000 0.0000 0.4995 1
Mg3 Mg 0.0000 0.2424 0.7332 1
Mg4 Mg 0.5000 0.2465 0.4226 1
Cu1 Cu 0.5000 0.0000 0.1640 1
B1 B 0.5000 0.0000 0.6352 1
```

Most intense lines, 2θ = 15–90°, in order of rising 2θ:
Position (°2θ)  intensity
16.36  34
25.77  28
33.06  22
35.28  14
38.82  100
40.18  29
40.77  35
61.91  13
72.11  14
76.42  14

Mg6CuB: theoretical powder XRD pattern (Cu Ka), based on DFT lattice parameters and positions (GGA-PBE).

```
data_Mg6CuB
_chemical_formula_sum 'Mg12 Cu2 B2'
_space_group_name_H-M_alt 'A m m 2'
_space_group_IT_number 38
_cell_length_a 3.7091
_cell_length_b 8.0964
_cell_length_c 9.9111
_cell_angle_alpha 90.00
_cell_angle_beta 90.00
_cell_angle_gamma 90.00
loop_
_space_group_symop_operation_xyz
'x,y,z'
'-x,-y,z'
'-x,y,z'
'x,-y,z'
'x,y+1/2,z+1/2'
'-x,-y+1/2,z+1/2'
'-x,y+1/2,z+1/2'
'x,-y+1/2,z+1/2'
loop_
_atom_site_label
_atom_site_type_symbol
_atom_site_fract_x
_atom_site_fract_y
_atom_site_fract_z
_atom_site_occupancy
Mg1 Mg 0.0000 0.0000 0.0000 1
Mg2 Mg 0.0000 0.1792 0.2562 1
Mg3 Mg 0.5000 0.0000 0.7669 1
Mg4 Mg 0.5000 0.2174 0.5137 1
Cu1 Cu 0.0000 0.0000 0.5777 1
B1 B 0.5000 0.0000 0.1524 1
```

Most intense lines, 2θ = 15–90°, in order of rising 2θ:
Position (°2θ)  intensity
17.90  28
29.20  13
32.75  13
34.44  19
36.26  19
37.56  100
38.13  44
42.41  19
49.13  18
57.71  16

Mg14CuB: theoretical powder XRD pattern (Cu Ka), based on DFT lattice parameters and positions (GGA-PBE).

```
data_Mg14CuB
_chemical_formula_sum 'Mg28 Cu2 B2'
_space_group_name_H-M_alt 'A m m 2'
_space_group_IT_number 38
_cell_length_a 9.9856
_cell_length_b 6.2733
_cell_length_c 10.7408
_cell_angle_alpha 90.00
_cell_angle_beta 90.00
_cell_angle_gamma 90.00
loop_
_space_group_symop_operation_xyz
'x,y,z'
'-x,-y,z'
'-x,y,z'
'x,-y,z'
'x,y+1/2,z+1/2'
'-x,-y+1/2,z+1/2'
'-x,y+1/2,z+1/2'
'x,-y+1/2,z+1/2'
loop_
_atom_site_label
_atom_site_type_symbol
_atom_site_fract_x
_atom_site_fract_y
_atom_site_fract_z
_atom_site_occupancy
Mg1 Mg 0.0000 0.0000 0.0000 1
Mg2 Mg 0.0000 0.0000 0.4990 1
Mg3 Mg 0.0000 0.2482 0.2561 1
Mg4 Mg 0.2478 0.0000 0.6722 1
Mg5 Mg 0.2514 0.0000 0.1736 1
Mg6 Mg 0.3072 0.2394 0.9316 1
Mg7 Mg 0.5000 0.2444 0.2092 1
Cu1 Cu 0.5000 0.0000 0.5137 1
B1 B 0.5000 0.0000 0.0267 1
```

Most intense lines, 2θ = 15–90°, in order of rising 2θ:
Position (°2θ)  intensity
18.64  14
24.26  12
31.59  14
33.07  19
33.37  17
35.98  26
37.79  100
38.05  33
49.67  11
59.45  12

Na3CuBPO7: theoretical powder XRD pattern (Cu Ka), based on DFT lattice parameters and positions (GGA-PBE).

```
data_Na3CuBPO7
_chemical_formula_sum 'Na6 Cu2 B2 P2 O14'
_space_group_name_H-M_alt 'P 1 21/m 1'
_space_group_IT_number 11
_cell_length_a 5.2221
_cell_length_b 6.4850
_cell_length_c 9.0077
_cell_angle_alpha 90.00
_cell_angle_beta 91.14
_cell_angle_gamma 90.00
loop_
_space_group_symop_operation_xyz
'x,y,z'
'-x,-y,-z'
'-x,y+1/2,-z'
'x,-y+1/2,z'
loop_
_atom_site_label
_atom_site_type_symbol
_atom_site_fract_x
_atom_site_fract_y
_atom_site_fract_z
_atom_site_occupancy
Na1 Na 0.2407 0.2500 0.0812 1
Na2 Na 0.2461 0.5011 0.7411 1
Cu1 Cu 0.2256 0.7500 0.3423 1
B1 B 0.2639 0.7500 0.0649 1
P1 P 0.2968 0.2500 0.4220 1
O1 O 0.0322 0.7500 0.1373 1
O2 O 0.1543 0.2500 0.5693 1
O3 O 0.2206 0.0627 0.3207 1
O4 O 0.2857 0.7500 0.9159 1
O5 O 0.4072 0.7500 0.5481 1
O6 O 0.4725 0.7500 0.1629 1
```

Most intense lines, 2θ = 15–90°, in order of rising 2θ:
Position (°2θ)  intensity
16.85  47
19.48  35
25.87  37
27.51  84
29.81  39
33.93  54
34.12  100
34.35  74
42.03  32
49.27  29

CuB2O4: theoretical powder XRD pattern (Cu Ka), based on DFT lattice parameters and positions (GGA-PBE).

```
data_CuB2O4
_chemical_formula_sum 'Cu12 B24 O48'
_space_group_name_H-M_alt 'I -4 2 d'
_space_group_IT_number 122
_space_group_name_Hall 'I -4 2bw'
_cell_length_a 11.5901
_cell_length_b 11.5901
_cell_length_c 5.6731
_cell_angle_alpha 90.00
_cell_angle_beta 90.00
_cell_angle_gamma 90.00
loop_
_atom_site_label
_atom_site_type_symbol
_atom_site_fract_x
_atom_site_fract_y
_atom_site_fract_z
_atom_site_occupancy
Cu1 Cu 0.0000 0.0000 0.0000 1
Cu2 Cu 0.0821 0.2500 0.6250 1
B1 B 0.0008 0.7500 0.1250 1
B2 B 0.1479 0.6847 0.4473 1
O1 O 0.0705 0.6593 0.2441 1
O2 O 0.0732 0.1872 0.2969 1
O3 O 0.0842 0.7500 0.6250 1
O4 O 0.2479 0.2500 0.6250 1
```

Most intense lines, 2θ = 15–90°, in order of rising 2θ:
Position (°2θ)  intensity
23.25  100
24.28  27
32.00  37
33.43  26
34.61  29
35.23  26
35.65  31
50.53  25
53.11  20
65.77  25

Cu3BO5: theoretical powder XRD pattern (Cu Ka), based on DFT lattice parameters and positions (GGA-PBE).

```
data_Cu3BO5
_chemical_formula_sum 'Cu12 B4 O20'
_space_group_name_H-M_alt 'P 1 21/c 1'
_space_group_IT_number 14
_cell_length_a 3.2753
_cell_length_b 11.8914
_cell_length_c 9.8527
_cell_angle_alpha 90.00
_cell_angle_beta 103.09
_cell_angle_gamma 90.00
loop_
_space_group_symop_operation_xyz
'x,y,z'
'-x,-y,-z'
'-x,y+1/2,-z+1/2'
'x,-y+1/2,z+1/2'
loop_
_atom_site_label
_atom_site_type_symbol
_atom_site_fract_x
_atom_site_fract_y
_atom_site_fract_z
_atom_site_occupancy
Cu1 Cu 0.0000 0.0000 0.0000 1
Cu2 Cu 0.0564 0.2228 0.4939 1
Cu3 Cu 0.4359 0.6150 0.2644 1
Cu4 Cu 0.5000 0.0000 0.5000 1
B1 B 0.4478 0.6361 0.7352 1
O1 O 0.0223 0.0850 0.3912 1
O2 O 0.0645 0.1441 0.0932 1
O3 O 0.3738 0.7381 0.6674 1
O4 O 0.4362 0.5384 0.6592 1
O5 O 0.4603 0.1334 0.6212 1
```

Most intense lines, 2θ = 15–90°, in order of rising 2θ:
Position (°2θ)  intensity
17.55  61
18.49  25
29.92  79
31.81  25
35.52  100
35.73  65
37.21  27
37.49  31
55.05  22
66.37  23

Cu3BO5: theoretical powder XRD pattern (Cu Ka), based on DFT lattice parameters and positions (GGA-PBE).

```
data_Cu3BO5
_chemical_formula_sum 'Cu12 B4 O20'
_space_group_name_H-M_alt 'P 1 21/c 1'
_space_group_IT_number 14
_cell_length_a 3.3108
_cell_length_b 9.3922
_cell_length_c 11.9956
_cell_angle_alpha 90.00
_cell_angle_beta 94.50
_cell_angle_gamma 90.00
loop_
_space_group_symop_operation_xyz
'x,y,z'
'-x,-y,-z'
'-x,y+1/2,-z+1/2'
'x,-y+1/2,z+1/2'
loop_
_atom_site_label
_atom_site_type_symbol
_atom_site_fract_x
_atom_site_fract_y
_atom_site_fract_z
_atom_site_occupancy
Cu1 Cu 0.0000 0.0000 0.0000 1
Cu2 Cu 0.0675 0.0141 0.2749 1
Cu3 Cu 0.4191 0.7358 0.6230 1
Cu4 Cu 0.5000 0.0000 0.5000 1
B1 B 0.3680 0.7337 0.3692 1
O1 O 0.0225 0.5905 0.6436 1
O2 O 0.1806 0.1237 0.4090 1
O3 O 0.3318 0.6634 0.2673 1
O4 O 0.3503 0.6585 0.4670 1
O5 O 0.4416 0.6205 0.8681 1
```

Most intense lines, 2θ = 15–90°, in order of rising 2θ:
Position (°2θ)  intensity
17.58  50
18.90  16
29.09  36
33.18  59
35.60  100
37.96  15
38.33  20
40.00  20
47.11  22
67.54  18